No. 1
Theoretical powder diffraction line list of Mo10Pt6C for Cu Kα X-rays, from the PBE geometry in Alexandria.
Lines closer than 0.1° are merged.

Structure:
a b c (Å): 7.8857 7.8857 4.8840
angles (deg): 90.00 90.00 120.00
Space group P-31m (No. 162)
Unique sites:
Mo 0.0000 0.2166 0.2659
Mo 0.3333 0.6667 0.0000
Mo 0.3333 0.6667 0.5000
Pt 0.0000 0.4066 0.7521
C 0.0000 0.0000 0.0000

Top 10 peaks for 2θ = 10–90°, in order of rising 2θ:
hkl 1 1 1, 2θ = 29.1°, rel. 28
hkl 2 1 0, 2θ = 34.8°, rel. 23
hkl 0 0 2, 2θ = 36.8°, rel. 20
hkl 3 -1 1, 2θ = 39.5°, rel. 100
hkl 3 0 0, 2θ = 39.6°, rel. 22
hkl 1 1 2, 2θ = 43.6°, rel. 41
hkl 2 0 2, 2θ = 45.7°, rel. 19
hkl 4 -1 1, 2θ = 51.8°, rel. 25
hkl 3 -1 3, 2θ = 68.1°, rel. 19
hkl 5 0 2, 2θ = 80.6°, rel. 24

No. 2
Theoretical powder diffraction line list of Mg5Pd for Cu Kα X-rays, from the PBE geometry in Alexandria.
Lines closer than 0.1° are merged.

Structure:
a b c (Å): 4.3259 12.7021 4.3427
angles (deg): 90.00 90.00 90.00
Space group Cmmm (No. 65)
Unique sites:
Mg 0.0000 0.0000 0.0000
Mg 0.0000 0.1557 0.5000
Mg 0.0000 0.3419 0.0000
Pd 0.0000 0.5000 0.5000

Top 10 peaks for 2θ = 10–90°, in order of rising 2θ:
hkl 0 2 0, 2θ = 13.9°, rel. 41
hkl 0 0 1, 2θ = 20.5°, rel. 13
hkl 1 1 0, 2θ = 21.7°, rel. 23
hkl 0 2 1, 2θ = 24.8°, rel. 17
hkl 1 1 1, 2θ = 30.0°, rel. 18
hkl 1 3 1, 2θ = 36.2°, rel. 100
hkl 0 0 2, 2θ = 41.6°, rel. 17
hkl 2 0 0, 2θ = 41.8°, rel. 17
hkl 0 6 0, 2θ = 42.7°, rel. 15
hkl 1 3 3, 2θ = 72.4°, rel. 12

No. 3
Theoretical powder diffraction line list of Tb2Y5Er6 for Cu Kα X-rays, from the PBE geometry in Alexandria.
Lines closer than 0.1° are merged.

Structure:
a b c (Å): 11.5707 20.1688 3.5689
angles (deg): 90.00 90.00 90.00
Space group Pbam (No. 55)
Unique sites:
Tb 0.1676 0.2107 0.0000
Y 0.0000 0.5000 0.5000
Y 0.0894 0.7740 0.5000
Y 0.1979 0.0506 0.5000
Er 0.0607 0.9197 0.0000
Er 0.0826 0.6320 0.0000
Er 0.1725 0.3648 0.5000

Top 10 peaks for 2θ = 10–90°, in order of rising 2θ:
hkl 1 6 0, 2θ = 27.6°, rel. 41
hkl 4 1 0, 2θ = 31.2°, rel. 63
hkl 1 4 1, 2θ = 31.7°, rel. 47
hkl 1 7 0, 2θ = 32.0°, rel. 85
hkl 2 3 1, 2θ = 32.3°, rel. 100
hkl 2 4 1, 2θ = 34.5°, rel. 37
hkl 3 3 1, 2θ = 36.8°, rel. 35
hkl 0 0 2, 2θ = 51.2°, rel. 24
hkl 6 4 1, 2θ = 57.3°, rel. 22
hkl 1 7 2, 2θ = 61.7°, rel. 30

No. 4
Theoretical powder diffraction line list of Ba2PtPb for Cu Kα X-rays, from the PBE geometry in Alexandria.
Lines closer than 0.1° are merged.

Structure:
a b c (Å): 4.9185 5.1334 11.6426
angles (deg): 90.00 90.00 90.00
Space group Amm2 (No. 38)
Unique sites:
Ba 0.0000 0.0000 0.0000
Ba 0.5000 0.0000 0.2912
Pt 0.5000 0.0000 0.5792
Pb 0.0000 0.0000 0.6966

Top 10 peaks for 2θ = 10–90°, in order of rising 2θ:
hkl 0 0 2, 2θ = 15.2°, rel. 36
hkl 0 1 1, 2θ = 18.9°, rel. 37
hkl 1 1 1, 2θ = 26.2°, rel. 100
hkl 0 1 3, 2θ = 28.8°, rel. 56
hkl 1 1 3, 2θ = 34.2°, rel. 85
hkl 0 2 0, 2θ = 35.0°, rel. 42
hkl 1 0 4, 2θ = 35.8°, rel. 49
hkl 2 0 0, 2θ = 36.5°, rel. 37
hkl 2 1 3, 2θ = 47.2°, rel. 32
hkl 1 2 4, 2θ = 50.9°, rel. 37

No. 5
Theoretical powder diffraction line list of ReW3N for Cu Kα X-rays, from the PBE geometry in Alexandria.
Lines closer than 0.1° are merged.

Structure:
a b c (Å): 4.1186 4.1186 4.1186
angles (deg): 90.00 90.00 90.00
Space group Pm-3m (No. 221)
Unique sites:
Re 0.0000 0.0000 0.0000
W 0.0000 0.5000 0.5000
N 0.5000 0.5000 0.5000

Top 5 peaks for 2θ = 10–90°, in order of rising 2θ:
hkl 1 1 1, 2θ = 37.8°, rel. 100
hkl 2 0 0, 2θ = 44.0°, rel. 53
hkl 2 2 0, 2θ = 63.9°, rel. 35
hkl 3 1 1, 2θ = 76.8°, rel. 40
hkl 2 2 2, 2θ = 80.8°, rel. 12

No. 6
Theoretical powder diffraction line list of TmIn7Hg12 for Cu Kα X-rays, from the PBE geometry in Alexandria.
Lines closer than 0.1° are merged.

Structure:
a b c (Å): 13.4860 13.4860 10.0853
angles (deg): 90.00 90.00 120.00
Space group R-3 (No. 148, hexagonal axes)
Unique sites:
Tm 0.0000 0.0000 0.0000
In 0.0000 0.0000 0.5000
In 0.0576 0.4820 0.6252
Hg 0.0017 0.2405 0.5532
Hg 0.0389 0.1626 0.2444

Top 10 peaks for 2θ = 10–90°, in order of rising 2θ:
hkl 1 1 3, 2θ = 29.7°, rel. 76
hkl 4 0 1, 2θ = 31.9°, rel. 100
hkl 4 -1 2, 2θ = 32.9°, rel. 82
hkl 5 -2 1, 2θ = 34.6°, rel. 90
hkl 1 4 0, 2θ = 35.2°, rel. 72
hkl 0 4 2, 2θ = 35.5°, rel. 75
hkl 1 0 4, 2θ = 36.5°, rel. 49
hkl 2 2 3, 2θ = 37.8°, rel. 51
hkl 2 3 2, 2θ = 38.0°, rel. 29
hkl 5 -3 5, 2θ = 57.1°, rel. 52